The following is a computed powder X-ray diffraction pattern of La8CoRu3Cl4. It was derived from the GGA-PBE geometry in Alexandria, using Cu Kα (weighted mean of Kα1 and Kα2).

Structure:
```
data_La8CoRu3Cl4
_chemical_formula_sum 'La24 Co3 Ru9 Cl12'
_cell_length_a 8.2131
_cell_length_b 8.2131
_cell_length_c 22.9940
_cell_angle_alpha 90.00
_cell_angle_beta 90.00
_cell_angle_gamma 120.00
_symmetry_space_group_name_H-M 'R -3 m'
_symmetry_Int_Tables_number 166
_symmetry_space_group_name_Hall '-R 3 2"'
loop_
_atom_site_label
_atom_site_type_symbol
_atom_site_fract_x
_atom_site_fract_y
_atom_site_fract_z
La1 La 0.0000 0.0000 0.2349
La2 La 0.0019 0.5009 0.2342
Co1 Co 0.0000 0.0000 0.5000
Ru1 Ru 0.0000 0.5000 0.5000
Cl1 Cl 0.0000 0.0000 0.0000
Cl2 Cl 0.0000 0.5000 0.0000
```

Most intense lines, 10° ≤ 2θ ≤ 90°, sorted by position:
(hkl)	two_theta	I/Imax
0 0 3	11.55	37
0 2 4	29.54	100
0 2 7	37.26	19
2 0 8	40.35	30
2 2 0	44.11	36
4 0 4	53.98	18

The following is a computed powder X-ray diffraction pattern of La6Tl2CoCl. It was derived from the GGA-PBE geometry in Alexandria, using Cu Kα (weighted mean of Kα1 and Kα2).

Structure:
```
data_La6Tl2CoCl
_chemical_formula_sum 'La24 Tl8 Co4 Cl4'
_cell_length_a 11.005
_cell_length_b 11.005
_cell_length_c 11.005
_cell_angle_alpha 90.00
_cell_angle_beta 90.00
_cell_angle_gamma 90.00
_symmetry_space_group_name_H-M 'F m -3 m'
_symmetry_Int_Tables_number 225
_symmetry_space_group_name_Hall '-F 4 2 3'
loop_
_atom_site_label
_atom_site_type_symbol
_atom_site_fract_x
_atom_site_fract_y
_atom_site_fract_z
La1 La 0.000 0.000 0.243
Tl1 Tl 0.250 0.250 0.250
Co1 Co 0.000 0.000 0.000
Cl1 Cl 0.000 0.000 0.500
```

Most intense lines, 10° ≤ 2θ ≤ 90°, sorted by position:
(hkl)	two_theta	I/Imax
2 2 2	28.09	100
4 0 0	32.55	71
4 4 0	46.69	51
6 2 2	55.38	45
6 6 2	75.28	18
8 4 0	77.59	22

The following is a computed powder X-ray diffraction pattern of Li2CoCl. It was derived from the GGA-PBE geometry in Alexandria, using Cu Kα (weighted mean of Kα1 and Kα2).

Structure:
```
data_Li2CoCl
_chemical_formula_sum 'Li4 Co2 Cl2'
_cell_length_a 3.047
_cell_length_b 6.794
_cell_length_c 8.011
_cell_angle_alpha 90.00
_cell_angle_beta 90.00
_cell_angle_gamma 90.00
_symmetry_space_group_name_H-M 'I m m m'
_symmetry_Int_Tables_number 71
_symmetry_space_group_name_Hall '-I 2 2'
loop_
_atom_site_label
_atom_site_type_symbol
_atom_site_fract_x
_atom_site_fract_y
_atom_site_fract_z
Li1 Li 0.000 0.000 0.216
Co1 Co 0.000 0.500 0.000
Cl1 Cl 0.000 0.500 0.500
```

Most intense lines, 10° ≤ 2θ ≤ 90°, sorted by position:
(hkl)	two_theta	I/Imax
0 0 2	22.19	84
0 2 0	26.23	81
1 1 0	32.20	61
0 2 2	34.62	50
1 1 2	39.45	100
1 3 2	55.52	34

The following is a computed powder X-ray diffraction pattern of LiCoCl3. It was derived from the GGA-PBE geometry in Alexandria, using Cu Kα (weighted mean of Kα1 and Kα2).

Structure:
```
data_LiCoCl3
_chemical_formula_sum 'Li8 Co8 Cl24'
_cell_length_a 12.447
_cell_length_b 11.475
_cell_length_c 6.481
_cell_angle_alpha 90.00
_cell_angle_beta 104.03
_cell_angle_gamma 90.00
_symmetry_space_group_name_H-M 'C 1 2/c 1'
_symmetry_Int_Tables_number 15
_symmetry_space_group_name_Hall '-C 2yc'
loop_
_atom_site_label
_atom_site_type_symbol
_atom_site_fract_x
_atom_site_fract_y
_atom_site_fract_z
Li1 Li 0.000 0.109 0.250
Li2 Li 0.000 0.242 0.750
Co1 Co 0.198 0.413 0.286
Cl1 Cl 0.114 0.087 0.627
Cl2 Cl 0.119 0.254 0.113
Cl3 Cl 0.138 0.426 0.591
```

Most intense lines, 10° ≤ 2θ ≤ 90°, sorted by position:
(hkl)	two_theta	I/Imax
0 2 1	20.96	89
3 1 0	23.42	62
2 0 -2	28.66	94
1 3 1	29.20	100
1 3 -3	48.49	54
5 3 1	49.69	61

The following is a computed powder X-ray diffraction pattern of LiTlCoCl6. It was derived from the GGA-PBE geometry in Alexandria, using Cu Kα (weighted mean of Kα1 and Kα2).

Structure:
```
data_LiTlCoCl6
_chemical_formula_sum 'Li1 Tl1 Co1 Cl6'
_cell_length_a 6.3347
_cell_length_b 6.3347
_cell_length_c 6.1126
_cell_angle_alpha 90.00
_cell_angle_beta 90.00
_cell_angle_gamma 120.00
_symmetry_space_group_name_H-M 'P 3 1 2'
_symmetry_Int_Tables_number 149
_symmetry_space_group_name_Hall 'P 3 2'
loop_
_atom_site_label
_atom_site_type_symbol
_atom_site_fract_x
_atom_site_fract_y
_atom_site_fract_z
Li1 Li 0.0000 0.0000 0.0000
Tl1 Tl 0.6667 0.3333 0.5000
Co1 Co 0.3333 0.6667 0.0000
Cl1 Cl 0.0548 0.3647 0.2149
```

Most intense lines, 10° ≤ 2θ ≤ 90°, sorted by position:
(hkl)	two_theta	I/Imax
1 0 0	16.16	38
1 0 1	21.77	100
1 1 1	31.82	33
2 0 1	35.88	23
2 -1 2	41.04	41
3 -1 1	46.23	28

The following is a computed powder X-ray diffraction pattern of Mg2Co2Cl. It was derived from the GGA-PBE geometry in Alexandria, using Cu Kα (weighted mean of Kα1 and Kα2).

Structure:
```
data_Mg2Co2Cl
_chemical_formula_sum 'Mg4 Co4 Cl2'
_cell_length_a 3.326
_cell_length_b 3.326
_cell_length_c 16.160
_cell_angle_alpha 90.00
_cell_angle_beta 90.00
_cell_angle_gamma 90.00
_symmetry_space_group_name_H-M 'I 4/m m m'
_symmetry_Int_Tables_number 139
_symmetry_space_group_name_Hall '-I 4 2'
loop_
_atom_site_label
_atom_site_type_symbol
_atom_site_fract_x
_atom_site_fract_y
_atom_site_fract_z
Mg1 Mg 0.000 0.000 0.123
Co1 Co 0.000 0.500 0.250
Cl1 Cl 0.000 0.000 0.500
```

Most intense lines, 10° ≤ 2θ ≤ 90°, sorted by position:
(hkl)	two_theta	I/Imax
0 0 2	10.95	100
0 0 4	22.00	35
1 0 3	31.62	23
1 1 2	39.93	60
1 1 4	44.58	34
1 1 6	51.60	25